Record 1
Diffraction record for Y3Ge6Pt4. The powder XRD pattern is computed, not measured: it uses a cell relaxed with PBE and Cu Ka.
No peak broadening, texture or thermal motion is included.

Atomic structure:
```
data_Y3Ge6Pt4
_chemical_formula_sum 'Y6 Ge12 Pt8'
_space_group_name_H-M_alt 'P 1 21/m 1'
_space_group_IT_number 11
_space_group_name_Hall '-P 2yb'
_cell_length_a 8.800
_cell_length_b 4.359
_cell_length_c 13.340
_cell_angle_alpha 90.00
_cell_angle_beta 99.45
_cell_angle_gamma 90.00
loop_
_atom_site_label
_atom_site_fract_x
_atom_site_fract_y
_atom_site_fract_z
Y1 0.067 0.250 0.313
Y2 0.235 0.750 0.939
Y3 0.411 0.750 0.687
Ge1 0.119 0.250 0.068
Ge2 0.127 0.750 0.495
Ge3 0.195 0.250 0.778
Ge4 0.304 0.750 0.216
Ge5 0.378 0.250 0.499
Ge6 0.414 0.250 0.068
Pt1 0.029 0.750 0.125
Pt2 0.151 0.250 0.591
Pt3 0.353 0.750 0.400
Pt4 0.467 0.250 0.875
```

Principal peaks in the range 10 to 90 degrees two-theta, low angle first:
2θ (°), d (Å), I/Imax
33.58, 2.669, 100
34.14, 2.626, 57
36.91, 2.435, 50
41.03, 2.200, 39
41.43, 2.179, 58
48.06, 1.893, 44

***

Record 2
Diffraction record for Hf8Ni2C3N3. The powder XRD pattern is computed, not measured: it uses a cell relaxed with PBE and Cu Ka.
No peak broadening, texture or thermal motion is included.

Atomic structure:
```
data_Hf8Ni2C3N3
_chemical_formula_sum 'Hf8 Ni2 C3 N3'
_space_group_name_H-M_alt 'P -3 m 1'
_space_group_IT_number 164
_space_group_name_Hall '-P 3 2"'
_cell_length_a 3.2434
_cell_length_b 3.2434
_cell_length_c 23.4249
_cell_angle_alpha 90.00
_cell_angle_beta 90.00
_cell_angle_gamma 120.00
loop_
_atom_site_label
_atom_site_fract_x
_atom_site_fract_y
_atom_site_fract_z
Hf1 0.0000 0.0000 0.1681
Hf2 0.0000 0.0000 0.3304
Hf3 0.3333 0.6667 0.5561
Hf4 0.3333 0.6667 0.9436
Ni1 0.3333 0.6667 0.7533
C1 0.0000 0.0000 0.5000
C2 0.3333 0.6667 0.3834
N1 0.0000 0.0000 0.0000
N2 0.3333 0.6667 0.1101
```

Principal peaks in the range 10 to 90 degrees two-theta, low angle first:
2θ (°), d (Å), I/Imax
30.53, 2.928, 27
32.79, 2.731, 52
37.33, 2.409, 64
39.52, 2.280, 100
56.77, 1.622, 46
57.49, 1.603, 24

***

What is the formula in the first record? Y3Ge6Pt4

***

What is the formula in the second record? Hf8Ni2C3N3